Diffraction record for K2In2Au3. The PXRD pattern is simulated, not measured: it uses DFT lattice parameters and positions (PBE) and Cu Kα.
Intensities are scaled so that the largest is 100.

```
data_K2In2Au3
_space_group_name_H-M_alt 'C 1 2/m 1'
_space_group_IT_number 12
_space_group_name_Hall '-C 2y'
_cell_length_a 12.577
_cell_length_b 4.609
_cell_length_c 7.874
_cell_angle_alpha 90.00
_cell_angle_beta 124.23
_cell_angle_gamma 90.00
loop_
_atom_site_label
_atom_site_type_symbol
_atom_site_fract_x
_atom_site_fract_y
_atom_site_fract_z
K1 K 0.159 0.000 0.292
In1 In 0.143 0.000 0.774
Au1 Au 0.000 0.500 0.500
Au2 Au 0.084 0.500 0.930
```

Largest 6 diffraction maxima, in order of rising 2θ, 2θ from 10° to 90°:
14.65 deg, I = 97, hkl 2 0 -1
21.08 deg, I = 100, hkl 1 1 0
30.64 deg, I = 97, hkl 1 1 -2
38.62 deg, I = 80, hkl 1 1 2
39.60 deg, I = 85, hkl 3 1 -3
42.27 deg, I = 99, hkl 5 1 -1

=====

Diffraction record for ErCd2Ag4. The PXRD pattern is simulated, not measured: it uses DFT lattice parameters and positions (PBE) and Cu Kα.
Intensities are scaled so that the largest is 100.

```
data_ErCd2Ag4
_space_group_name_H-M_alt 'I m m 2'
_space_group_IT_number 44
_space_group_name_Hall 'I 2 -2'
_cell_length_a 5.792
_cell_length_b 7.080
_cell_length_c 7.591
_cell_angle_alpha 90.00
_cell_angle_beta 90.00
_cell_angle_gamma 90.00
loop_
_atom_site_label
_atom_site_type_symbol
_atom_site_fract_x
_atom_site_fract_y
_atom_site_fract_z
Er1 Er 0.000 0.000 0.000
Cd1 Cd 0.000 0.000 0.574
Cd2 Cd 0.000 0.500 0.096
Ag1 Ag 0.248 0.296 0.792
```

Largest 6 diffraction maxima, in order of rising 2θ, 2θ from 10° to 90°:
34.65 deg, I = 100, hkl 0 2 2
39.12 deg, I = 86, hkl 2 0 2
40.01 deg, I = 27, hkl 0 3 1
40.23 deg, I = 76, hkl 2 2 0
62.66 deg, I = 28, hkl 2 3 3
64.32 deg, I = 30, hkl 4 0 0